(1)
Simulated X-ray powder pattern of Li4Mn3Nb5O16 for Cu Kα (weighted mean of Kα1 and Kα2), from a cell relaxed with PBE+U.
Peak positions follow from Bragg's law for the DFT cell and can differ from measured ones.

Cell and atoms:
```
data_Li4Mn3Nb5O16
_chemical_formula_sum 'Li8 Mn6 Nb10 O32'
_cell_length_a 10.8506
_cell_length_b 6.0945
_cell_length_c 10.0686
_cell_angle_alpha 90.00
_cell_angle_beta 90.90
_cell_angle_gamma 90.00
_symmetry_space_group_name_H-M 'C 1 m 1'
_symmetry_Int_Tables_number 8
_symmetry_space_group_name_Hall 'C -2y'
loop_
_atom_site_label
_atom_site_fract_x
_atom_site_fract_y
_atom_site_fract_z
Li1 0.0000 0.0000 0.0000
Li2 0.0037 0.0000 0.4991
Li3 0.1601 0.5000 0.9108
Li4 0.3303 0.0000 0.4199
Mn1 0.3395 0.5000 0.2228
Mn2 0.4182 0.2452 0.7184
Nb1 0.0931 0.2741 0.2267
Nb2 0.1716 0.5000 0.5095
Nb3 0.1755 0.0000 0.7384
Nb4 0.3424 0.0000 0.0008
O1 0.0084 0.0000 0.3159
O2 0.0094 0.0000 0.8152
O3 0.0158 0.5000 0.3681
O4 0.0965 0.2502 0.6060
O5 0.1693 0.0000 0.1057
O6 0.1760 0.5000 0.1013
O7 0.2323 0.2762 0.3557
O8 0.2504 0.2203 0.8597
O9 0.3175 0.0000 0.6161
O10 0.3331 0.5000 0.5893
O11 0.4277 0.2344 0.1038
O12 0.4715 0.0000 0.8664
```

Top 10 peaks for 15° ≤ 2θ ≤ 90°, low angle first:
2θ 17.6, intensity 71.0; 2θ 18.5, intensity 56.6; 2θ 18.8, intensity 100.0; 2θ 18.9, intensity 54.9; 2θ 31.6, intensity 57.9; 2θ 33.7, intensity 58.9; 2θ 34.1, intensity 60.1; 2θ 34.4, intensity 57.3; 2θ 43.3, intensity 51.3; 2θ 59.4, intensity 47.1

(2)
Simulated X-ray powder pattern of MgWO3 for Cu Kα (weighted mean of Kα1 and Kα2), from a cell relaxed with PBE+U.
Peak positions follow from Bragg's law for the DFT cell and can differ from measured ones.

Cell and atoms:
```
data_MgWO3
_chemical_formula_sum 'Mg4 W4 O12'
_cell_length_a 5.4253
_cell_length_b 7.8981
_cell_length_c 5.3052
_cell_angle_alpha 90.00
_cell_angle_beta 90.00
_cell_angle_gamma 90.00
_symmetry_space_group_name_H-M 'P n m a'
_symmetry_Int_Tables_number 62
_symmetry_space_group_name_Hall '-P 2ac 2n'
loop_
_atom_site_label
_atom_site_fract_x
_atom_site_fract_y
_atom_site_fract_z
Mg1 0.0325 0.2500 0.0111
W1 0.0000 0.0000 0.5000
O1 0.0952 0.7500 0.6271
O2 0.1782 0.5721 0.1679
```

Top 10 peaks for 15° ≤ 2θ ≤ 90°, low angle first:
2θ 22.5, intensity 43.6; 2θ 23.5, intensity 78.2; 2θ 32.7, intensity 100.0; 2θ 33.0, intensity 23.9; 2θ 33.8, intensity 22.3; 2θ 48.0, intensity 21.5; 2θ 52.2, intensity 20.4; 2θ 53.6, intensity 28.5; 2θ 58.8, intensity 23.1; 2θ 59.8, intensity 23.8

(3)
Simulated X-ray powder pattern of Sr4LiMn2Ga2O10 for Cu Kα (weighted mean of Kα1 and Kα2), from a cell relaxed with PBE+U.
Peak positions follow from Bragg's law for the DFT cell and can differ from measured ones.

Cell and atoms:
```
data_Sr4LiMn2Ga2O10
_chemical_formula_sum 'Sr4 Li1 Mn2 Ga2 O10'
_cell_length_a 5.6768
_cell_length_b 5.7334
_cell_length_c 9.1715
_cell_angle_alpha 108.13
_cell_angle_beta 107.83
_cell_angle_gamma 90.26
_symmetry_space_group_name_H-M 'P 1'
_symmetry_Int_Tables_number 1
_symmetry_space_group_name_Hall 'P 1'
loop_
_atom_site_label
_atom_site_fract_x
_atom_site_fract_y
_atom_site_fract_z
Sr1 0.0000 0.0000 0.0000
Sr2 0.1864 0.2561 0.4139
Sr3 0.4863 0.5575 0.9998
Sr4 0.7120 0.7165 0.4139
Li1 0.1318 0.1710 0.7795
Mn1 0.0995 0.6301 0.2093
Mn2 0.5963 0.1387 0.2138
Ga1 0.4450 0.9255 0.6952
Ga2 0.7320 0.3233 0.6903
O1 0.2412 0.7307 0.4967
O2 0.3307 0.3824 0.1913
O3 0.3419 0.8767 0.2123
O4 0.3950 0.9604 0.8901
O5 0.4023 0.2775 0.7019
O6 0.7309 0.3118 0.4878
O7 0.7852 0.9818 0.7024
O8 0.8460 0.3819 0.1922
O9 0.8531 0.8731 0.2051
O10 0.9799 0.4889 0.8801
```

Top 10 peaks for 15° ≤ 2θ ≤ 90°, low angle first:
2θ 22.4, intensity 16.4; 2θ 31.0, intensity 100.0; 2θ 31.1, intensity 28.9; 2θ 31.2, intensity 54.4; 2θ 31.5, intensity 41.2; 2θ 39.7, intensity 25.9; 2θ 43.9, intensity 16.5; 2θ 44.8, intensity 24.7; 2θ 45.0, intensity 18.7; 2θ 55.3, intensity 15.1

(4)
Simulated X-ray powder pattern of V5O12 for Cu Kα (weighted mean of Kα1 and Kα2), from a cell relaxed with PBE+U.
Peak positions follow from Bragg's law for the DFT cell and can differ from measured ones.

Cell and atoms:
```
data_V5O12
_chemical_formula_sum 'V5 O12'
_cell_length_a 4.9654
_cell_length_b 5.3289
_cell_length_c 7.4963
_cell_angle_alpha 83.28
_cell_angle_beta 89.91
_cell_angle_gamma 89.27
_symmetry_space_group_name_H-M 'P 1'
_symmetry_Int_Tables_number 1
_symmetry_space_group_name_Hall 'P 1'
loop_
_atom_site_label
_atom_site_fract_x
_atom_site_fract_y
_atom_site_fract_z
V1 0.0000 0.0000 0.0000
V2 0.0182 0.5801 0.2935
V3 0.0391 0.9835 0.5342
V4 0.4858 0.4777 0.9993
V5 0.5321 0.4744 0.5312
O1 0.1133 0.9159 0.2460
O2 0.2001 0.2520 0.9498
O3 0.2066 0.6423 0.5357
O4 0.3286 0.7560 0.9430
O5 0.3304 0.1382 0.5541
O6 0.3374 0.4456 0.2526
O7 0.6197 0.4570 0.7464
O8 0.7050 0.1373 0.0463
O9 0.7266 0.7402 0.4387
O10 0.8375 0.6101 0.0905
O11 0.8457 0.2850 0.4299
O12 0.9122 0.9472 0.7475
```

Top 10 peaks for 15° ≤ 2θ ≤ 90°, low angle first:
2θ 23.9, intensity 98.6; 2θ 24.4, intensity 100.0; 2θ 24.7, intensity 94.2; 2θ 33.0, intensity 49.7; 2θ 33.2, intensity 54.2; 2θ 33.9, intensity 46.2; 2θ 36.2, intensity 32.1; 2θ 40.6, intensity 31.6; 2θ 41.6, intensity 45.4; 2θ 48.9, intensity 30.5